VHgBr3: calculated powder X-ray diffraction pattern (copper Kα), based on DFT lattice parameters and positions (PBE).

Atomic structure:
Unit cell a=6.5267 b=6.5267 c=29.4884 alpha=90.00 beta=90.00 gamma=120.00
Space group R-3 (No. 148, hexagonal axes)
Inequivalent atoms, fractional coordinates:
1 V 0.0000 0.0000 0.1667 x6
2 Hg 0.0000 0.0000 0.3375 x6
3 Br 0.0001 0.3655 0.5497 x18

Largest 10 diffraction maxima, most intense first, 2θ = 10–80°:
hkl 2 -1 6, 32.95 deg, I 1000
hkl 1 1 3, 28.83 deg, I 924
hkl 1 1 12, 46.25 deg, I 428
hkl 0 1 2, 16.80 deg, I 414
hkl 1 0 4, 19.79 deg, I 341
hkl 0 0 9, 27.22 deg, I 327
hkl 3 0 0, 48.31 deg, I 311
hkl 3 0 9, 56.33 deg, I 247
hkl 0 0 6, 18.05 deg, I 183
hkl 2 2 6, 59.71 deg, I 161

***

NdH6Rh2: calculated powder X-ray diffraction pattern (copper Kα), based on DFT lattice parameters and positions (PBE).

Atomic structure:
Unit cell a=4.7829 b=4.7829 c=4.1828 alpha=90.00 beta=90.00 gamma=120.00
Space group P-31m (No. 162)
Inequivalent atoms, fractional coordinates:
1 Nd 0.0000 0.0000 0.0000 x1
2 H 0.0000 0.4989 0.7655 x6
3 Rh 0.3333 0.6667 0.5000 x2

Largest 10 diffraction maxima, most intense first, 2θ = 10–80°:
hkl 1 0 1, 30.37 deg, I 1000
hkl 1 1 0, 37.61 deg, I 560
hkl 1 1 2, 58.64 deg, I 310
hkl 2 0 1, 49.08 deg, I 262
hkl 2 1 1, 63.44 deg, I 239
hkl 0 0 2, 43.26 deg, I 122
hkl 3 0 0, 67.88 deg, I 98
hkl 1 0 3, 71.38 deg, I 84
hkl 0 0 1, 21.24 deg, I 31
hkl 2 -1 1, 43.60 deg, I 26